1.
The following is a computed powder diffractogram of Na2CdBr4. It was derived from a PBE-relaxed structure, using a wavelength of 1.5418 Å.

Structure:
```
Na2CdBr4
1.0
7.3906 -4.2628 0.0000
7.3906 4.2628 0.0000
-4.9311 0.0000 13.9359
Na Cd Br
8 4 16
direct
0.0000 0.0000 0.0000
0.0000 0.0000 0.5000
0.0000 0.5000 0.5000
0.2488 0.7512 0.7500
0.5000 0.0000 0.0000
0.5000 0.5000 0.0000
0.5000 0.5000 0.5000
0.7512 0.2488 0.2500
0.0631 0.5619 0.1875
0.4381 0.9369 0.3125
0.5619 0.0631 0.6875
0.9369 0.4381 0.8125
0.1201 0.1279 0.3763
0.1261 0.6258 0.3783
0.1279 0.1201 0.8763
0.1281 0.6286 0.8760
0.3715 0.3812 0.6240
0.3714 0.8719 0.6240
0.3742 0.8739 0.1217
0.3812 0.3715 0.1240
0.6188 0.6285 0.8760
0.6258 0.1261 0.8783
0.6286 0.1281 0.3760
0.6285 0.6188 0.3760
0.8719 0.3714 0.1240
0.8721 0.8799 0.1237
0.8739 0.3742 0.6217
0.8799 0.8721 0.6237
```

Principal peaks in the range 2θ from 10° to 80°, low angle first:
2θ (°)  d/Å  intensity
20.82  4.266  36
24.47  3.638  39
25.58  3.483  86
29.62  3.016  39
36.48  2.463  17
38.78  2.322  19
42.38  2.133  100
50.16  1.819  39
61.49  1.508  16
77.52  1.231  32

***

2.
The following is a computed powder diffractogram of Na2CdSbBr6. It was derived from a PBE-relaxed structure, using a wavelength of 1.5418 Å.

Structure:
```
Na2CdSbBr6
1.0
7.1720 0.0000 0.0000
3.2583 7.0233 0.0000
3.3496 1.5709 6.9878
Na Cd Sb Br
2 1 1 6
direct
0.0000 0.0000 0.0000
0.4988 0.4728 0.4912
0.2194 0.0460 0.4441
0.6521 0.6493 0.9369
0.0908 0.7471 0.7154
0.2763 0.6070 0.1876
0.3454 0.1337 0.6624
0.6150 0.8528 0.2246
0.7168 0.3678 0.7779
0.9497 0.2399 0.2511
```

Principal peaks in the range 2θ from 10° to 80°, low angle first:
2θ (°)  d/Å  intensity
15.82  5.601  55
16.00  5.539  100
20.04  4.431  54
24.77  3.595  85
25.43  3.502  55
26.60  3.352  49
27.70  3.220  35
27.75  3.215  71
35.48  2.530  80
36.31  2.474  52

***

3.
The following is a computed powder diffractogram of NaCdSeBr. It was derived from a PBE-relaxed structure, using a wavelength of 1.5418 Å.

Structure:
```
NaCdSeBr
1.0
4.7042 0.0000 0.0000
-2.3521 4.0740 0.0000
0.0000 0.0000 6.2780
Na Cd Se Br
1 1 1 1
direct
0.0000 0.0000 0.0000
0.6667 0.3333 0.5000
0.0000 0.0000 0.5000
0.6667 0.3333 0.0000
```

Principal peaks in the range 2θ from 10° to 80°, low angle first:
2θ (°)  d/Å  intensity
14.11  6.278  23
21.82  4.074  100
28.43  3.139  53
36.12  2.487  54
38.27  2.352  71
48.35  1.882  71
53.64  1.709  17
67.79  1.382  16
72.38  1.306  21
76.42  1.246  18

***

4.
The following is a computed powder diffractogram of NaCdSnBr6. It was derived from a PBE-relaxed structure, using a wavelength of 1.5418 Å.

Structure:
```
NaCdSnBr6
1.0
7.1295 0.0000 0.0000
-3.5647 6.1743 0.0000
0.0000 0.0000 6.3823
Na Cd Sn Br
1 1 1 6
direct
0.0000 0.0000 0.0000
0.6667 0.3333 0.0000
0.3333 0.6667 0.5000
0.3463 0.0031 0.7462
0.3463 0.3432 0.2538
0.6568 0.0031 0.2538
0.6568 0.6537 0.7462
0.9969 0.3432 0.7462
0.9969 0.6537 0.2538
```

Principal peaks in the range 2θ from 10° to 80°, low angle first:
2θ (°)  d/Å  intensity
14.35  6.174  18
20.01  4.438  56
28.68  3.112  100
32.21  2.779  17
37.84  2.378  67
41.19  2.192  19
44.00  2.058  47
49.92  1.827  20
59.39  1.556  17
75.37  1.261  19

***

5.
The following is a computed powder diffractogram of Rb2NbCdBr6. It was derived from a PBE-relaxed structure, using a wavelength of 1.5418 Å.

Structure:
```
Rb2NbCdBr6
1.0
0.0000 5.5795 5.5795
5.5795 0.0000 5.5795
5.5795 5.5795 0.0000
Rb Nb Cd Br
2 1 1 6
direct
0.2500 0.2500 0.2500
0.7500 0.7500 0.7500
0.0000 0.0000 0.0000
0.5000 0.5000 0.5000
0.2415 0.2415 0.7585
0.2415 0.7585 0.2415
0.2415 0.7585 0.7585
0.7585 0.2415 0.2415
0.7585 0.2415 0.7585
0.7585 0.7585 0.2415
```

Principal peaks in the range 2θ from 10° to 80°, low angle first:
2θ (°)  d/Å  intensity
15.88  5.579  31
22.54  3.945  32
27.69  3.221  53
32.08  2.790  100
35.99  2.495  15
39.56  2.278  14
46.01  1.973  71
54.55  1.682  22
57.19  1.611  24
76.33  1.248  30

***

6.
The following is a computed powder diffractogram of Nd6CdBr8. It was derived from a PBE-relaxed structure, using a wavelength of 1.5418 Å.

Structure:
```
Nd6CdBr8
1.0
3.6174 2.0885 11.1325
-3.6174 2.0885 11.1325
0.0000 -4.1770 11.1325
Nd Cd Br
6 1 8
direct
0.0544 0.3880 0.7201
0.2799 0.9456 0.6120
0.3880 0.7201 0.0544
0.6120 0.2799 0.9456
0.7201 0.0544 0.3880
0.9456 0.6120 0.2799
0.0000 0.0000 0.0000
0.1091 0.7818 0.4370
0.2182 0.5630 0.8909
0.3333 0.3333 0.3333
0.4370 0.1091 0.7818
0.5630 0.8909 0.2182
0.6667 0.6667 0.6667
0.7818 0.4370 0.1091
0.8909 0.2182 0.5630
```

Principal peaks in the range 2θ from 10° to 80°, low angle first:
2θ (°)  d/Å  intensity
25.90  3.440  9
29.45  3.033  100
34.63  2.590  10
40.91  2.206  40
43.32  2.089  32
53.25  1.720  19
61.10  1.517  12
67.53  1.387  17
70.99  1.328  16
77.84  1.227  12